This entry pairs a crystal structure of K2TiHgF6 with its computed X-ray diffraction stick pattern. Radiation: Cu Ka. Structure: a PBE-relaxed structure.

Most intense lines, 2θ from 10° to 80°, low angle first:
h k l, 2theta, d (Å), I/Imax
1 1 1, 15.97, 5.551, 24
2 0 0, 18.46, 4.807, 55
2 2 0, 26.22, 3.399, 100
3 1 1, 30.85, 2.899, 35
4 0 0, 37.42, 2.403, 36
3 3 1, 40.92, 2.206, 28
4 2 0, 42.03, 2.150, 21
4 2 2, 46.26, 1.962, 35
6 2 0, 60.95, 1.520, 23
6 4 2, 73.75, 1.285, 23

Structure:
Unit cell a=9.614 b=9.614 c=9.614 alpha=90.00 beta=90.00 gamma=90.00
Space group Fm-3m (No. 225)
Symmetry-distinct sites (fractional):
K 0.250 0.250 0.250 (multiplicity 8)
Ti 0.000 0.000 0.000 (multiplicity 4)
Hg 0.000 0.000 0.500 (multiplicity 4)
F 0.000 0.000 0.197 (multiplicity 24)